Record 1
For Pm11Cd4In9, a crystal structure in Alexandria, relaxed with GGA-PBE gives the simulated powder XRD pattern in this record (Cu Kα).
Kinematic intensities with the Lorentz-polarization factor, no thermal factor.

Largest 10 diffraction maxima, sorted by position, 2θ = 10–80°:
2θ = 30.36°, rel. 75, (2 4 1); 2θ = 30.92°, rel. 39, (1 5 1); 2θ = 31.47°, rel. 96, (3 3 1); 2θ = 33.09°, rel. 1000, (4 0 1); 2θ = 35.18°, rel. 44, (3 5 1); 2θ = 47.37°, rel. 90, (0 0 2); 2θ = 47.64°, rel. 47, (8 0 0); 2θ = 59.05°, rel. 166, (4 6 2); 2θ = 59.19°, rel. 57, (8 6 1); 2θ = 78.89°, rel. 54, (4 0 3)

Cell: 15.2720 22.9683 3.8385 Å, 90.00 90.00 90.00°
Space group Cmmm (No. 65)
Unique sites:
Pm1 0.0000 0.0000 0.0000
Pm2 0.0000 0.1626 0.0000
Pm3 0.0000 0.3610 0.0000
Pm4 0.2193 0.5000 0.0000
Pm5 0.2337 0.1762 0.0000
Cd1 0.1504 0.4020 0.5000
In1 0.0000 0.5000 0.5000
In2 0.1062 0.2632 0.5000
In3 0.1363 0.0766 0.5000

=====

Record 2
For Sc2Al3Re, a crystal structure in Alexandria, relaxed with GGA-PBE gives the simulated powder XRD pattern in this record (Cu Kα).
Kinematic intensities with the Lorentz-polarization factor, no thermal factor.

Largest 10 diffraction maxima, sorted by position, 2θ = 10–80°:
2θ = 20.48°, rel. 758, (1 0 1); 2θ = 20.66°, rel. 326, (0 0 3); 2θ = 23.75°, rel. 559, (0 1 2); 2θ = 33.72°, rel. 615, (1 1 0); 2θ = 39.88°, rel. 1000, (1 1 3); 2θ = 40.07°, rel. 444, (0 1 5); 2θ = 41.66°, rel. 384, (2 0 2); 2θ = 54.93°, rel. 148, (1 1 6); 2θ = 64.48°, rel. 234, (3 0 3); 2θ = 64.61°, rel. 213, (1 2 5)

Cell: 5.3155 5.3155 12.8988 Å, 90.00 90.00 120.00°
Space group R-3m (No. 166, hexagonal axes)
Unique sites:
Sc1 0.0000 0.0000 0.1289
Al1 0.0000 0.5000 0.0000
Re1 0.0000 0.0000 0.5000

=====

Record 3
For TlSb3Au3, a crystal structure in Alexandria, relaxed with GGA-PBE gives the simulated powder XRD pattern in this record (Cu Kα).
Kinematic intensities with the Lorentz-polarization factor, no thermal factor.

Largest 10 diffraction maxima, sorted by position, 2θ = 10–80°:
2θ = 22.36°, rel. 488, (1 1 -1); 2θ = 26.55°, rel. 637, (-1 1 2); 2θ = 28.37°, rel. 565, (2 2 1); 2θ = 29.82°, rel. 1000, (1 -1 1); 2θ = 33.22°, rel. 564, (2 1 2); 2θ = 38.15°, rel. 625, (3 1 1); 2θ = 38.71°, rel. 687, (1 0 -3); 2θ = 39.83°, rel. 714, (1 3 3); 2θ = 42.32°, rel. 464, (0 3 0); 2θ = 42.72°, rel. 560, (1 0 3)

Cell: 7.4741 7.8726 8.0220 Å, 62.20 87.51 68.50°
Space group P-1 (No. 2)
Unique sites:
Tl1 0.0211 0.2498 0.3206
Sb1 0.1705 0.2140 0.7373
Sb2 0.3098 0.5114 0.0637
Sb3 0.4079 0.7863 0.4000
Au1 0.2279 0.5314 0.4055
Au2 0.3391 0.8567 0.7074
Au3 0.3517 0.1512 0.0585

=====

Record 4
For CrTc2, a crystal structure in Alexandria, relaxed with GGA-PBE gives the simulated powder XRD pattern in this record (Cu Kα).
Kinematic intensities with the Lorentz-polarization factor, no thermal factor.

Largest 10 diffraction maxima, sorted by position, 2θ = 10–80°:
2θ = 40.94°, rel. 514, (2 0 2); 2θ = 42.26°, rel. 447, (4 0 -2); 2θ = 42.56°, rel. 1000, (1 1 -2); 2θ = 43.03°, rel. 941, (3 1 0); 2θ = 59.55°, rel. 139, (2 0 -4); 2θ = 61.05°, rel. 120, (6 0 0); 2θ = 63.92°, rel. 152, (0 2 0); 2θ = 75.34°, rel. 126, (1 1 4); 2θ = 78.75°, rel. 139, (2 2 2); 2θ = 79.64°, rel. 128, (4 2 -2)

Cell: 9.5369 2.9130 6.2126 Å, 90.00 107.26 90.00°
Space group Cm (No. 8)
Unique sites:
Cr1 0.0000 0.0000 0.0000
Cr2 0.1750 0.5000 0.3059
Tc1 0.0518 0.0000 0.5136
Tc2 0.1805 0.5000 0.8721
Tc3 0.3497 0.0000 0.6574
Tc4 0.3578 0.0000 0.2026

=====

Record 5
For AcCu5Se4, a crystal structure in Alexandria, relaxed with GGA-PBE gives the simulated powder XRD pattern in this record (Cu Kα).
Kinematic intensities with the Lorentz-polarization factor, no thermal factor.

Largest 10 diffraction maxima, sorted by position, 2θ = 10–80°:
2θ = 22.76°, rel. 294, (1 1 1); 2θ = 28.21°, rel. 1000, (2 0 1); 2θ = 28.85°, rel. 366, (1 3 0); 2θ = 33.50°, rel. 334, (2 2 1); 2θ = 34.16°, rel. 461, (1 3 1); 2θ = 35.84°, rel. 430, (0 4 0); 2θ = 40.64°, rel. 321, (0 2 2); 2θ = 44.06°, rel. 366, (4 0 0); 2θ = 46.22°, rel. 323, (2 4 1); 2θ = 46.63°, rel. 257, (3 3 1)

Cell: 8.2204 10.0228 4.9526 Å, 90.00 90.00 90.00°
Space group Pmmn (No. 59, origin choice 2)
Unique sites:
Ac1 0.2500 0.2500 0.0209
Cu1 0.0260 0.5345 0.2510
Cu2 0.2500 0.7500 0.2423
Se1 0.0120 0.2500 0.5125
Se2 0.2500 0.5537 0.9225

=====

Record 6
For In4CuAs, a crystal structure in Alexandria, relaxed with GGA-PBE gives the simulated powder XRD pattern in this record (Cu Kα).
Kinematic intensities with the Lorentz-polarization factor, no thermal factor.

Largest 10 diffraction maxima, sorted by position, 2θ = 10–80°:
2θ = 18.00°, rel. 255, (1 1 1); 2θ = 29.60°, rel. 147, (2 2 0); 2θ = 34.86°, rel. 1000, (3 1 1); 2θ = 36.47°, rel. 565, (2 2 2); 2θ = 42.36°, rel. 130, (4 0 0); 2θ = 46.37°, rel. 65, (3 3 1); 2θ = 55.98°, rel. 327, (5 1 1); 2θ = 61.45°, rel. 304, (4 4 0); 2θ = 72.64°, rel. 110, (5 3 3); 2θ = 73.62°, rel. 205, (6 2 2)

Cell: 8.5352 8.5352 8.5352 Å, 90.00 90.00 90.00°
Space group F-43m (No. 216)
Unique sites:
In1 0.1250 0.1250 0.1250
Cu1 0.0000 0.0000 0.5000
As1 0.2500 0.2500 0.7500